Calculated powder X-ray diffraction pattern
Compound: SmErGaRh
Radiation: Cu Kα (weighted mean of Kα1 and Kα2)
Structure: a crystal structure in Alexandria, relaxed with GGA-PBE
Peak positions follow from Bragg's law for the DFT cell and can differ from measured ones.

The 6 most intense peaks (15 to 90 degrees two-theta), sorted by position:
- 32.0 deg, d 2.801, rel. 100, hkl 1 1 1
- 32.3 deg, d 2.773, rel. 38, hkl 0 1 3
- 32.8 deg, d 2.734, rel. 26, hkl 0 0 4
- 39.7 deg, d 2.268, rel. 49, hkl 1 1 3
- 40.1 deg, d 2.247, rel. 20, hkl 1 0 4
- 42.3 deg, d 2.136, rel. 25, hkl 0 2 0

Cell and atoms:
abc: 3.943 4.271 10.937
angles: 90.00 90.00 90.00
Space group Amm2 (No. 38)
Inequivalent atoms, fractional coordinates:
Sm  0.000  0.000  0.000 [2 per cell]
Er  0.500  0.000  0.286 [2 per cell]
Ga  0.500  0.000  0.584 [2 per cell]
Rh  0.000  0.000  0.738 [2 per cell]